# Sb3P3Au2
Computed powder XRD pattern, Cu Kα, 1.54184 Å. Input: a GGA-PBE-relaxed structure.
Neutral-atom scattering factors, no anomalous dispersion.

Structural model:
```
data_Sb3P3Au2
_chemical_formula_sum 'Sb6 P6 Au4'
_space_group_name_H-M_alt 'P 63/m m c'
_space_group_IT_number 194
_space_group_name_Hall '-P 6c 2c'
_cell_length_a 3.9261
_cell_length_b 3.9261
_cell_length_c 25.8886
_cell_angle_alpha 90.00
_cell_angle_beta 90.00
_cell_angle_gamma 120.00
loop_
_atom_site_label
_atom_site_type_symbol
_atom_site_fract_x
_atom_site_fract_y
_atom_site_fract_z
Sb1 Sb 0.0000 0.0000 0.0000
Sb2 Sb 0.3333 0.6667 0.1290
P1 P 0.3333 0.6667 0.5628
P2 P 0.3333 0.6667 0.7500
Au1 Au 0.0000 0.0000 0.1949
```

Main lines, by angle (10 to 80 degrees two-theta):
two_theta  I (rel.)
26.21  75
29.68  82
33.56  74
38.40  58
43.96  100
46.25  98